Diffraction record for Zn. The X-ray diffraction stick pattern is simulated, not measured: it uses DFT lattice parameters and positions (GGA-PBE) and CuKα.
Intensities are scaled so that the largest is 100.

Crystal structure
```
data_Zn
_chemical_formula_sum 'Zn3'
_cell_length_a 2.8091
_cell_length_b 2.8091
_cell_length_c 6.6577
_cell_angle_alpha 90.00
_cell_angle_beta 90.00
_cell_angle_gamma 120.00
_symmetry_space_group_name_H-M 'R -3 m'
_symmetry_Int_Tables_number 166
_symmetry_space_group_name_Hall '-R 3 2"'
loop_
_atom_site_label
_atom_site_type_symbol
_atom_site_fract_x
_atom_site_fract_y
_atom_site_fract_z
_atom_site_occupancy
Zn1 Zn 0.0000 0.0000 0.0000 1
```

Most intense lines, 10 to 90 degrees two-theta, by angle:
hkl  d/Å  2θ/deg  I_rel
1 0 1  2.285  39.43  100.0
0 0 3  2.219  40.65  30.5
0 1 2  1.964  46.22  62.5
1 1 0  1.405  66.58  19.6
1 0 4  1.374  68.28  18.1
0 2 1  1.197  80.22  11.2
1 1 3  1.187  81.02  21.7
0 1 5  1.168  82.60  10.3
2 0 2  1.143  84.87  9.6
0 0 6  1.110  88.02  3.0